1.
TlAg2Cl7: simulated X-ray powder pattern (Cu Kα X-rays), based on a cell relaxed with GGA-PBE.

Peak list (10 most intense, 2θ from 10° to 90°, in order of rising 2θ)
| two_theta | I (rel.) |
| --- | --- |
| 16.4 | 100 |
| 20.7 | 75 |
| 20.9 | 53 |
| 23.3 | 32 |
| 24.3 | 34 |
| 25.4 | 33 |
| 28.7 | 44 |
| 30.1 | 46 |
| 30.2 | 37 |
| 36.2 | 38 |

Cell lengths 7.2979, 8.2277, 10.3709 Å; angles 70.79, 79.29, 80.49 degrees
Atoms (fractional coordinates):
Tl (0.0474, 0.1681, 0.1712)
Tl (0.9526, 0.8319, 0.8288)
Ag (0.2811, 0.6517, 0.1614)
Ag (0.4869, 0.7826, 0.5135)
Ag (0.5131, 0.2174, 0.4865)
Ag (0.7189, 0.3483, 0.8386)
Cl (0.1808, 0.2988, 0.7809)
Cl (0.2451, 0.0023, 0.5831)
Cl (0.2485, 0.5123, 0.0037)
Cl (0.2515, 0.5407, 0.6574)
Cl (0.2591, 0.3846, 0.3411)
Cl (0.2772, 0.9177, 0.9832)
Cl (0.3101, 0.8006, 0.3169)
Cl (0.6899, 0.1994, 0.6831)
Cl (0.7228, 0.0823, 0.0168)
Cl (0.7409, 0.6153, 0.6589)
Cl (0.7485, 0.4593, 0.3426)
Cl (0.7515, 0.4877, 0.9963)
Cl (0.7549, 0.9977, 0.4169)
Cl (0.8192, 0.7012, 0.2191)



2.
DyPuI6: simulated X-ray powder pattern (Cu Kα X-rays), based on a cell relaxed with GGA-PBE.

Peak list (10 most intense, 2θ from 10° to 90°, in order of rising 2θ)
| two_theta | I (rel.) |
| --- | --- |
| 12.0 | 53 |
| 13.7 | 25 |
| 23.1 | 26 |
| 24.1 | 17 |
| 27.9 | 100 |
| 28.1 | 49 |
| 39.7 | 19 |
| 40.0 | 92 |
| 49.3 | 23 |
| 49.6 | 19 |

Cell lengths 7.8063, 7.8063, 7.8109 Å; angles 99.35, 99.35, 119.98 degrees
Atoms (fractional coordinates):
Dy (0.0000, 0.0000, 0.0000)
Pu (0.6675, 0.3325, 0.0000)
I (0.0597, 0.3854, 0.2422)
I (0.2505, 0.2339, 0.7619)
I (0.4037, 0.0922, 0.2383)
I (0.6146, 0.9403, 0.7578)
I (0.7661, 0.7495, 0.2381)
I (0.9078, 0.5963, 0.7617)



3.
ErPd2O4: simulated X-ray powder pattern (Cu Kα X-rays), based on a cell relaxed with GGA-PBE.

Peak list (10 most intense, 2θ from 10° to 90°, in order of rising 2θ)
| two_theta | I (rel.) |
| --- | --- |
| 28.4 | 46 |
| 31.1 | 65 |
| 31.3 | 13 |
| 36.2 | 100 |
| 36.3 | 54 |
| 48.4 | 27 |
| 55.6 | 20 |
| 58.8 | 19 |
| 58.9 | 31 |
| 59.1 | 13 |

Cell lengths 6.4115, 6.4115, 5.7094 Å; angles 116.34, 116.34, 102.03 degrees
Atoms (fractional coordinates):
Er (0.1250, 0.8750, 0.7500)
Er (0.8750, 0.1250, 0.2500)
Pd (0.0000, 0.5000, 0.0000)
Pd (0.5000, 0.0000, 0.5000)
Pd (0.5000, 0.5000, 0.0000)
Pd (0.5000, 0.5000, 0.5000)
O (0.1136, 0.2560, 0.7780)
O (0.1654, 0.5231, 0.4095)
O (0.2560, 0.1136, 0.2780)
O (0.4769, 0.8346, 0.0905)
O (0.5231, 0.1654, 0.9095)
O (0.7440, 0.8864, 0.7220)
O (0.8346, 0.4769, 0.5905)
O (0.8864, 0.7440, 0.2220)



4.
CsGdSiS4: simulated X-ray powder pattern (Cu Kα X-rays), based on a cell relaxed with GGA-PBE.

Peak list (10 most intense, 2θ from 10° to 90°, in order of rising 2θ)
| two_theta | I (rel.) |
| --- | --- |
| 19.1 | 37 |
| 19.8 | 100 |
| 21.6 | 50 |
| 23.9 | 44 |
| 26.5 | 60 |
| 29.6 | 69 |
| 31.6 | 43 |
| 33.3 | 47 |
| 40.1 | 71 |
| 43.6 | 41 |

Cell lengths 6.4103, 6.7329, 17.9020 Å; angles 90.00, 90.00, 90.00 degrees
Atoms (fractional coordinates):
Cs (0.0009, 0.0076, 0.4675)
Cs (0.4991, 0.9924, 0.9675)
Cs (0.5009, 0.4924, 0.5325)
Cs (0.9991, 0.5076, 0.0325)
Gd (0.2077, 0.0209, 0.7286)
Gd (0.2923, 0.9791, 0.2286)
Gd (0.7077, 0.4791, 0.2714)
Gd (0.7923, 0.5209, 0.7714)
Si (0.2099, 0.5167, 0.3323)
Si (0.2901, 0.4833, 0.8323)
Si (0.7099, 0.9833, 0.6677)
Si (0.7901, 0.0167, 0.1677)
S (0.0530, 0.0122, 0.0967)
S (0.0674, 0.2531, 0.8533)
S (0.1059, 0.7478, 0.8442)
S (0.1099, 0.5735, 0.2208)
S (0.3901, 0.4265, 0.7208)
S (0.3941, 0.2522, 0.3442)
S (0.4326, 0.7469, 0.3533)
S (0.4470, 0.9878, 0.5967)
S (0.5530, 0.4878, 0.9033)
S (0.5674, 0.2469, 0.1467)
S (0.6059, 0.7522, 0.1558)
S (0.6099, 0.9265, 0.7792)
S (0.8901, 0.0735, 0.2792)
S (0.8941, 0.2478, 0.6558)
S (0.9326, 0.7531, 0.6467)
S (0.9470, 0.5122, 0.4033)



5.
GdEr2Ge3PdPt2: simulated X-ray powder pattern (Cu Kα X-rays), based on a cell relaxed with GGA-PBE.

Peak list (10 most intense, 2θ from 10° to 90°, in order of rising 2θ)
| two_theta | I (rel.) |
| --- | --- |
| 33.8 | 100 |
| 36.7 | 27 |
| 36.8 | 60 |
| 38.0 | 21 |
| 43.2 | 14 |
| 43.5 | 28 |
| 44.8 | 18 |
| 46.5 | 25 |
| 65.5 | 16 |
| 69.7 | 18 |

Cell lengths 3.9039, 7.2360, 7.2360 Å; angles 120.29, 90.00, 90.00 degrees
Atoms (fractional coordinates):
Gd (0.0000, 0.0000, 0.0000)
Er (0.0000, 0.4066, 0.8123)
Er (0.0000, 0.8123, 0.4066)
Ge (0.5000, 0.1517, 0.4084)
Ge (0.5000, 0.4084, 0.1517)
Ge (0.5000, 0.6618, 0.6618)
Pd (0.0000, 0.4102, 0.4102)
Pt (0.5000, 0.0748, 0.7367)
Pt (0.5000, 0.7367, 0.0748)



6.
Na4Hf2Si3O12: simulated X-ray powder pattern (Cu Kα X-rays), based on a cell relaxed with GGA-PBE.

Peak list (10 most intense, 2θ from 10° to 90°, in order of rising 2θ)
| two_theta | I (rel.) |
| --- | --- |
| 19.4 | 100 |
| 19.7 | 94 |
| 27.8 | 40 |
| 31.4 | 73 |
| 33.9 | 56 |
| 34.1 | 35 |
| 44.3 | 21 |
| 46.8 | 27 |
| 52.8 | 23 |
| 59.0 | 23 |

Cell lengths 9.0013, 9.0013, 9.0013 Å; angles 61.26, 61.26, 61.26 degrees
Atoms (fractional coordinates):
Na (0.0000, 0.0000, 0.0000)
Na (0.1144, 0.7500, 0.3856)
Na (0.2500, 0.6144, 0.8856)
Na (0.3856, 0.1144, 0.7500)
Na (0.5000, 0.5000, 0.5000)
Na (0.6144, 0.8856, 0.2500)
Na (0.7500, 0.3856, 0.1144)
Na (0.8856, 0.2500, 0.6144)
Hf (0.1455, 0.1455, 0.1455)
Hf (0.3545, 0.3545, 0.3545)
Hf (0.6455, 0.6455, 0.6455)
Hf (0.8545, 0.8545, 0.8545)
Si (0.0476, 0.4524, 0.7500)
Si (0.2500, 0.9524, 0.5476)
Si (0.4524, 0.7500, 0.0476)
Si (0.5476, 0.2500, 0.9524)
Si (0.7500, 0.0476, 0.4524)
Si (0.9524, 0.5476, 0.2500)
O (0.0104, 0.6236, 0.7975)
O (0.0651, 0.2653, 0.9174)
O (0.0826, 0.9349, 0.7347)
O (0.1236, 0.5104, 0.2975)
O (0.2025, 0.9896, 0.3764)
O (0.2347, 0.4349, 0.5826)
O (0.2653, 0.9174, 0.0651)
O (0.2975, 0.1236, 0.5104)
O (0.3764, 0.2025, 0.9896)
O (0.4174, 0.7653, 0.5651)
O (0.4349, 0.5826, 0.2347)
O (0.4896, 0.7025, 0.8764)
O (0.5104, 0.2975, 0.1236)
O (0.5651, 0.4174, 0.7653)
O (0.5826, 0.2347, 0.4349)
O (0.6236, 0.7975, 0.0104)
O (0.7025, 0.8764, 0.4896)
O (0.7347, 0.0826, 0.9349)
O (0.7653, 0.5651, 0.4174)
O (0.7975, 0.0104, 0.6236)
O (0.8764, 0.4896, 0.7025)
O (0.9174, 0.0651, 0.2653)
O (0.9349, 0.7347, 0.0826)
O (0.9896, 0.3764, 0.2025)



7.
SmCo2SiGe: simulated X-ray powder pattern (Cu Kα X-rays), based on a cell relaxed with GGA-PBE.

Peak list (10 most intense, 2θ from 10° to 90°, in order of rising 2θ)
| two_theta | I (rel.) |
| --- | --- |
| 24.2 | 27 |
| 32.0 | 16 |
| 35.1 | 80 |
| 36.8 | 100 |
| 45.8 | 50 |
| 51.0 | 24 |
| 59.0 | 35 |
| 65.0 | 20 |
| 71.0 | 18 |
| 78.7 | 20 |

Cell lengths 5.7433, 5.7433, 5.7433 Å; angles 139.65, 139.65, 58.38 degrees
Atoms (fractional coordinates):
Sm (0.0000, 0.0000, 0.0000)
Co (0.2560, 0.7560, 0.5000)
Co (0.7560, 0.2560, 0.5000)
Si (0.3671, 0.3671, 0.0000)
Ge (0.6276, 0.6276, 0.0000)



8.
Nd3Bi4Pt7: simulated X-ray powder pattern (Cu Kα X-rays), based on a cell relaxed with GGA-PBE.

Peak list (10 most intense, 2θ from 10° to 90°, in order of rising 2θ)
| two_theta | I (rel.) |
| --- | --- |
| 32.9 | 84 |
| 33.5 | 100 |
| 34.9 | 50 |
| 35.0 | 48 |
| 39.2 | 81 |
| 41.2 | 42 |
| 41.3 | 90 |
| 41.5 | 30 |
| 41.9 | 59 |
| 43.8 | 28 |

Cell lengths 8.7277, 8.7277, 10.9825 Å; angles 127.40, 127.40, 29.01 degrees
Atoms (fractional coordinates):
Nd (0.0000, 0.0000, 0.0000)
Nd (0.3301, 0.3301, 0.3162)
Nd (0.6699, 0.6699, 0.6838)
Bi (0.1447, 0.1447, 0.4142)
Bi (0.3275, 0.3275, 0.9801)
Bi (0.6725, 0.6725, 0.0199)
Bi (0.8553, 0.8553, 0.5858)
Pt (0.0000, 0.0000, 0.5000)
Pt (0.1122, 0.1122, 0.8262)
Pt (0.3463, 0.3463, 0.7521)
Pt (0.4821, 0.4821, 0.6597)
Pt (0.5179, 0.5179, 0.3403)
Pt (0.6537, 0.6537, 0.2479)
Pt (0.8878, 0.8878, 0.1738)